NpCrFe2O6: computed powder X-ray diffraction pattern (Cu Kα (λ = 1.5418 Å)), based on the GGA+U geometry in Alexandria.
Lines closer than 0.1° are merged.

Main lines, by angle (10° ≤ 2θ ≤ 90°):
2θ 18.5, d 4.800, I 46.0; 2θ 20.0, d 4.437, I 77.5; 2θ 22.7, d 3.919, I 88.4; 2θ 22.9, d 3.880, I 43.9; 2θ 31.2, d 2.867, I 53.8; 2θ 31.4, d 2.845, I 50.7; 2θ 31.7, d 2.827, I 51.7; 2θ 33.3, d 2.687, I 100.0; 2θ 33.5, d 2.677, I 47.8; 2θ 46.3, d 1.959, I 42.3

Atomic structure:
```
data_NpCrFe2O6
_space_group_name_H-M_alt 'P 1'
_space_group_IT_number 1
_cell_length_a 5.3556
_cell_length_b 5.3670
_cell_length_c 5.6780
_cell_angle_alpha 62.20
_cell_angle_beta 62.78
_cell_angle_gamma 60.25
loop_
_space_group_symop_operation_xyz
'x,y,z'
loop_
_atom_site_label
_atom_site_fract_x
_atom_site_fract_y
_atom_site_fract_z
_atom_site_occupancy
Np1 0.0000 0.0000 0.0000 1
Cr1 0.5026 0.4987 0.4960 1
Fe1 0.2032 0.2016 0.3911 1
Fe2 0.7084 0.6896 0.8855 1
O1 0.1266 0.3902 0.7069 1
O2 0.2819 0.8836 0.2319 1
O3 0.4029 0.7658 0.7163 1
O4 0.5999 0.2878 0.2261 1
O5 0.7779 0.1161 0.7119 1
O6 0.8785 0.6021 0.2167 1
```